(1)
Diffraction record for Ba3Sb4Pd4. The X-ray powder pattern is theoretical, not measured: it uses a DFT-relaxed cell (PBE, OQMD) and Cu Kα.

Largest 10 diffraction maxima, sorted by position, 10° ≤ 2θ ≤ 90°:
(hkl), 2θ (°), I/Imax
1 0 3, 27.2, 33
1 1 1, 27.5, 20
1 1 2, 29.8, 100
1 0 4, 32.3, 29
0 1 5, 38.0, 61
2 0 0, 38.2, 82
2 1 5, 55.0, 41
2 2 0, 55.1, 28
3 1 2, 63.9, 22
0 4 0, 81.6, 18

Structural model:
abc: 4.7148 4.7159 13.6809
angles: 90.00 90.00 90.00
Space group Pmmm (No. 47)
One atom of each set of equivalent atoms:
Ba  0.0000  0.0000  0.0000
Ba  0.0000  0.5000  0.3029
Sb  0.5000  0.0000  0.3889
Sb  0.5000  0.5000  0.1074
Pd  0.0000  0.0000  0.5000
Pd  0.5000  0.0000  0.1932
Pd  0.5000  0.5000  0.5000


(2)
Diffraction record for ScBMo2. The X-ray powder pattern is theoretical, not measured: it uses a DFT-relaxed cell (PBE, OQMD) and Cu Kα.

Largest 10 diffraction maxima, sorted by position, 10° ≤ 2θ ≤ 90°:
(hkl), 2θ (°), I/Imax
1 1 1, 25.2, 46
2 0 0, 29.1, 3
2 2 0, 41.7, 100
3 1 1, 49.3, 22
2 2 2, 51.7, 1
4 0 0, 60.4, 16
3 3 1, 66.5, 9
4 2 0, 68.4, 1
4 2 2, 76.1, 32
5 1 1, 81.6, 7

Structural model:
abc: 6.1302 6.1302 6.1302
angles: 90.00 90.00 90.00
Space group F-43m (No. 216)
One atom of each set of equivalent atoms:
Sc  0.0000  0.0000  0.0000
B  0.2500  0.2500  0.7500
Mo  0.0000  0.0000  0.5000
Mo  0.2500  0.2500  0.2500


(3)
Diffraction record for CoCN2. The X-ray powder pattern is theoretical, not measured: it uses a DFT-relaxed cell (PBE, OQMD) and Cu Kα.

Largest 10 diffraction maxima, sorted by position, 10° ≤ 2θ ≤ 90°:
(hkl), 2θ (°), I/Imax
0 0 2, 19.3, 77
1 0 0, 35.0, 33
1 0 1, 36.4, 19
1 0 2, 40.2, 100
1 0 4, 53.5, 45
1 1 0, 62.7, 24
1 1 2, 66.3, 15
1 0 6, 71.6, 18
2 0 2, 77.2, 12
2 0 4, 86.9, 10

Structural model:
abc: 2.9623 2.9623 9.2157
angles: 90.00 90.00 120.00
Space group P6_3/mmc (No. 194)
One atom of each set of equivalent atoms:
Co  0.0000  0.0000  0.0000
C  0.3333  0.6667  0.2500
N  0.3333  0.6667  0.1153


(4)
Diffraction record for NaNdTe4Au3. The X-ray powder pattern is theoretical, not measured: it uses a DFT-relaxed cell (PBE, OQMD) and Cu Kα.

Largest 10 diffraction maxima, sorted by position, 10° ≤ 2θ ≤ 90°:
(hkl), 2θ (°), I/Imax
1 0 0, 13.2, 39
1 1 1, 22.9, 72
2 1 0, 29.7, 25
2 2 0, 37.9, 100
3 0 0, 40.3, 13
3 1 1, 44.7, 37
4 0 0, 54.6, 17
3 3 1, 60.0, 16
4 2 2, 68.4, 35
5 3 1, 85.5, 12

Structural model:
abc: 6.7211 6.7211 6.7211
angles: 90.00 90.00 90.00
Space group P-43m (No. 215)
One atom of each set of equivalent atoms:
Na  0.0000  0.0000  0.0000
Nd  0.5000  0.5000  0.5000
Te  0.2485  0.2485  0.2485
Au  0.0000  0.5000  0.5000


(5)
Diffraction record for BaTlNiPb. The X-ray powder pattern is theoretical, not measured: it uses a DFT-relaxed cell (PBE, OQMD) and Cu Kα.

Largest 10 diffraction maxima, sorted by position, 10° ≤ 2θ ≤ 90°:
(hkl), 2θ (°), I/Imax
0 1 3, 29.4, 100
2 1 1, 30.8, 88
1 0 4, 30.9, 36
1 1 3, 31.5, 30
3 0 2, 36.6, 63
2 1 3, 37.1, 46
3 1 1, 39.9, 45
0 2 0, 40.2, 42
3 1 5, 54.4, 34
3 2 2, 55.5, 39

Structural model:
abc: 8.0170 4.4837 12.4137
angles: 90.00 90.00 90.00
Space group Amm2 (No. 38)
One atom of each set of equivalent atoms:
Ba  0.0000  0.0000  0.0000
Ba  0.5000  0.0000  0.1092
Tl  0.3037  0.0000  0.3973
Ni  0.0000  0.0000  0.2722
Ni  0.5000  0.0000  0.8322
Pb  0.1964  0.0000  0.7178


(6)
Diffraction record for GdSc2Ni4Ge4. The X-ray powder pattern is theoretical, not measured: it uses a DFT-relaxed cell (PBE, OQMD) and Cu Kα.

Largest 10 diffraction maxima, sorted by position, 10° ≤ 2θ ≤ 90°:
(hkl), 2θ (°), I/Imax
1 1 0, 26.2, 20
1 2 1, 35.7, 100
0 1 5, 36.9, 27
1 1 4, 38.2, 84
0 0 6, 41.5, 22
0 3 3, 45.4, 33
2 0 0, 46.0, 41
1 2 5, 49.8, 49
2 3 3, 66.6, 20
0 3 9, 78.4, 20

Structural model:
abc: 3.9433 6.7499 13.0586
angles: 90.00 90.00 90.00
Space group Immm (No. 71)
One atom of each set of equivalent atoms:
Gd  0.0000  0.0000  0.0000
Sc  0.0000  0.5000  0.1266
Ni  0.0000  0.3035  0.3218
Ge  0.0000  0.0000  0.2234
Ge  0.0000  0.1871  0.5000